The following is a calculated powder diffraction line list of CoP. It was derived from a structure optimized by DFT (GGA-PBE), using copper Kα.
Neutral-atom scattering factors, no anomalous dispersion.

Cell lengths 5.0446, 3.2582, 5.5440 Å; angles 90.00, 90.00, 90.00 degrees
Space group Pnma (No. 62)
Symmetry-distinct sites (fractional):
Co: 0.0006 0.2500 0.1974 (multiplicity 4)
P: 0.1915 0.2500 0.5816 (multiplicity 4)

Principal peaks in the range 2θ = 10–90°, by angle:
hkl, two_theta, d/Å, I (rel.)
0 1 1, 31.86, 2.809, 68
1 1 1, 36.62, 2.454, 29
1 1 2, 46.64, 1.948, 52
2 1 1, 48.51, 1.877, 100
2 0 2, 48.82, 1.866, 37
0 1 3, 57.30, 1.608, 36



The following is a calculated powder diffraction line list of CoP2. It was derived from a structure optimized by DFT (GGA-PBE), using copper Kα.
Neutral-atom scattering factors, no anomalous dispersion.

Cell lengths 5.5325, 5.5250, 5.5998 Å; angles 90.00, 114.74, 90.00 degrees
Space group P2_1/c (No. 14)
Symmetry-distinct sites (fractional):
Co: 0.2281 0.0012 0.2126 (multiplicity 4)
P: 0.1608 0.1295 0.8185 (multiplicity 4)
P: 0.3424 0.6277 0.1329 (multiplicity 4)

Principal peaks in the range 2θ = 10–90°, by angle:
hkl, two_theta, d/Å, I (rel.)
1 1 -1, 24.91, 3.574, 100
0 2 0, 32.41, 2.762, 45
0 0 2, 35.29, 2.543, 62
2 0 0, 35.74, 2.512, 70
1 2 -1, 37.80, 2.380, 49
3 1 -1, 52.54, 1.742, 47



The following is a calculated powder diffraction line list of CoPPd. It was derived from a structure optimized by DFT (GGA-PBE), using copper Kα.
Neutral-atom scattering factors, no anomalous dispersion.

Cell lengths 3.5979, 3.5979, 5.8468 Å; angles 90.00, 90.00, 90.00 degrees
Space group P4/nmm (No. 129, origin choice 2)
Symmetry-distinct sites (fractional):
Co: 0.2500 0.7500 0.0000 (multiplicity 2)
P: 0.2500 0.2500 0.2211 (multiplicity 2)
Pd: 0.2500 0.2500 0.6208 (multiplicity 2)

Principal peaks in the range 2θ = 10–90°, by angle:
hkl, two_theta, d/Å, I (rel.)
1 0 1, 29.14, 3.064, 22
1 1 1, 38.59, 2.333, 100
1 0 2, 39.73, 2.269, 71
2 0 0, 50.75, 1.799, 48
1 0 3, 53.47, 1.714, 24
2 1 2, 66.31, 1.410, 30



The following is a calculated powder diffraction line list of Zr4CoP2Pd. It was derived from a structure optimized by DFT (GGA-PBE), using copper Kα.
Neutral-atom scattering factors, no anomalous dispersion.

Cell lengths 5.3177, 3.7064, 7.5708 Å; angles 90.00, 110.26, 90.00 degrees
Space group Pm (No. 6)
Symmetry-distinct sites (fractional):
Zr: 0.0000 0.0000 0.0000 (multiplicity 1)
Zr: 0.0562 0.5000 0.6213 (multiplicity 1)
Zr: 0.4918 0.0000 0.4763 (multiplicity 1)
Zr: 0.5604 0.5000 0.1439 (multiplicity 1)
Co: 0.1292 0.5000 0.2626 (multiplicity 1)
P: 0.6557 0.5000 0.7597 (multiplicity 1)
P: 0.9227 0.0000 0.3470 (multiplicity 1)
Pd: 0.4167 0.0000 0.8507 (multiplicity 1)

Principal peaks in the range 2θ = 10–90°, by angle:
hkl, two_theta, d/Å, I (rel.)
0 1 2, 35.01, 2.563, 100
2 0 0, 35.97, 2.497, 40
2 0 -2, 36.13, 2.486, 23
1 1 -3, 43.71, 2.071, 45
2 1 -2, 43.85, 2.064, 26
1 0 3, 47.90, 1.899, 22



The following is a calculated powder diffraction line list of PrCo8P5. It was derived from a structure optimized by DFT (GGA-PBE), using copper Kα.
Neutral-atom scattering factors, no anomalous dispersion.

Cell lengths 3.5469, 10.4238, 9.2412 Å; angles 90.00, 90.00, 90.00 degrees
Space group Pmmn (No. 59, origin choice 2)
Symmetry-distinct sites (fractional):
Pr: 0.2500 0.2500 0.1771 (multiplicity 2)
Co: 0.2500 0.0039 0.8895 (multiplicity 4)
Co: 0.2500 0.0830 0.4789 (multiplicity 4)
Co: 0.2500 0.2500 0.8487 (multiplicity 2)
Co: 0.2500 0.6077 0.3027 (multiplicity 4)
Co: 0.2500 0.7500 0.5461 (multiplicity 2)
P: 0.2500 0.2500 0.6147 (multiplicity 2)
P: 0.2500 0.5574 0.6611 (multiplicity 4)
P: 0.2500 0.6306 0.0672 (multiplicity 4)

Principal peaks in the range 2θ = 10–90°, by angle:
hkl, two_theta, d/Å, I (rel.)
1 3 0, 36.25, 2.478, 94
1 3 1, 37.52, 2.397, 50
1 1 3, 39.71, 2.270, 78
1 3 2, 41.29, 2.187, 100
2 0 0, 51.53, 1.773, 60
0 6 0, 52.73, 1.736, 35



The following is a calculated powder diffraction line list of PrCo3P2. It was derived from a structure optimized by DFT (GGA-PBE), using copper Kα.
Neutral-atom scattering factors, no anomalous dispersion.

Cell lengths 3.7753, 10.6637, 12.3825 Å; angles 90.00, 90.00, 90.00 degrees
Space group Pmmn (No. 59, origin choice 2)
Symmetry-distinct sites (fractional):
Pr: 0.2500 0.0670 0.2059 (multiplicity 4)
Pr: 0.2500 0.2500 0.4790 (multiplicity 2)
Co: 0.2500 0.1321 0.7118 (multiplicity 4)
Co: 0.2500 0.2500 0.0126 (multiplicity 2)
Co: 0.2500 0.5476 0.4298 (multiplicity 4)
Co: 0.2500 0.5837 0.9964 (multiplicity 4)
Co: 0.2500 0.7500 0.1566 (multiplicity 2)
Co: 0.2500 0.7500 0.7050 (multiplicity 2)
P: 0.2500 0.0987 0.8964 (multiplicity 4)
P: 0.2500 0.5548 0.6137 (multiplicity 4)
P: 0.2500 0.7500 0.3381 (multiplicity 2)
P: 0.2500 0.7500 0.8872 (multiplicity 2)

Principal peaks in the range 2θ = 10–90°, by angle:
hkl, two_theta, d/Å, I (rel.)
0 3 3, 33.25, 2.694, 12
1 3 2, 37.65, 2.389, 100
1 1 4, 38.55, 2.335, 14
0 2 5, 40.15, 2.246, 12
2 0 0, 48.21, 1.888, 21
0 3 6, 51.18, 1.785, 11



The following is a calculated powder diffraction line list of Co2Re5P12. It was derived from a structure optimized by DFT (GGA-PBE), using copper Kα.
Neutral-atom scattering factors, no anomalous dispersion.

Cell lengths 11.9285, 14.8829, 3.0593 Å; angles 90.00, 90.00, 90.00 degrees
Space group Pnnm (No. 58)
Symmetry-distinct sites (fractional):
Co: 0.1309 0.1547 0.0000 (multiplicity 4)
Re: 0.0000 0.5000 0.5000 (multiplicity 2)
Re: 0.0775 0.7581 0.0000 (multiplicity 4)
Re: 0.1819 0.8992 0.5000 (multiplicity 4)
P: 0.0277 0.9260 0.0000 (multiplicity 4)
P: 0.0773 0.2615 0.5000 (multiplicity 4)
P: 0.1001 0.5955 0.0000 (multiplicity 4)
P: 0.1541 0.4003 0.5000 (multiplicity 4)
P: 0.2116 0.0629 0.5000 (multiplicity 4)
P: 0.2257 0.7423 0.5000 (multiplicity 4)

Principal peaks in the range 2θ = 10–90°, by angle:
hkl, two_theta, d/Å, I (rel.)
2 1 0, 16.01, 5.536, 100
3 1 0, 23.15, 3.841, 80
2 4 0, 28.27, 3.157, 76
1 2 1, 32.52, 2.753, 83
4 3 0, 35.11, 2.556, 78
5 0 1, 48.40, 1.881, 81



The following is a calculated powder diffraction line list of ScCoP. It was derived from a structure optimized by DFT (GGA-PBE), using copper Kα.
Neutral-atom scattering factors, no anomalous dispersion.

Cell lengths 6.2572, 3.7445, 6.9924 Å; angles 90.00, 90.00, 90.00 degrees
Space group Pnma (No. 62)
Symmetry-distinct sites (fractional):
Sc: 0.0171 0.2500 0.1849 (multiplicity 4)
Co: 0.1470 0.2500 0.5612 (multiplicity 4)
P: 0.2205 0.7500 0.3853 (multiplicity 4)

Principal peaks in the range 2θ = 10–90°, by angle:
hkl, two_theta, d/Å, I (rel.)
2 1 0, 37.46, 2.401, 44
1 1 2, 38.04, 2.366, 100
2 1 1, 39.69, 2.271, 91
3 0 1, 45.38, 1.999, 49
0 1 3, 45.86, 1.979, 83
0 2 0, 48.65, 1.872, 68